Simulated X-ray diffraction stick pattern of Li9Mn2Co5O16 for Cu Kα X-rays, from DFT lattice parameters and positions (PBE+U).

The 8 most intense peaks (2θ = 10–80°), sorted by position:
18.34 deg, I = 100, (1 0 0)
35.51 deg, I = 15, (1 2 2)
36.15 deg, I = 14, (0 2 -2)
36.34 deg, I = 12, (0 0 4)
42.86 deg, I = 29, (2 2 2)
43.87 deg, I = 27, (1 -2 2)
44.01 deg, I = 26, (1 0 -4)
63.44 deg, I = 14, (-2 2 2)

Structural model:
Cell lengths 5.161, 5.897, 10.050 Å; angles 89.15, 79.95, 72.31 degrees
Space group P1 (No. 1)
Asymmetric unit:
Li (0.000, 0.000, 0.000)
Li (0.001, 0.252, 0.257)
Li (0.002, 0.250, 0.752)
Li (0.004, 0.739, 0.262)
Li (0.007, 0.742, 0.756)
Li (0.014, 0.502, 0.518)
Li (0.502, 0.373, 0.630)
Li (0.992, 0.491, 0.005)
Li (0.995, 0.001, 0.515)
Mn (0.499, 0.869, 0.132)
Mn (0.503, 0.126, 0.385)
Co (0.493, 0.616, 0.874)
Co (0.497, 0.369, 0.134)
Co (0.501, 0.866, 0.634)
Co (0.506, 0.123, 0.872)
Co (0.507, 0.623, 0.385)
O (0.259, 0.937, 0.816)
O (0.260, 0.446, 0.832)
O (0.270, 0.157, 0.069)
O (0.274, 0.411, 0.312)
O (0.276, 0.170, 0.558)
O (0.281, 0.681, 0.081)
O (0.282, 0.684, 0.555)
O (0.290, 0.931, 0.317)
O (0.715, 0.061, 0.195)
O (0.720, 0.316, 0.959)
O (0.720, 0.805, 0.956)
O (0.722, 0.310, 0.432)
O (0.726, 0.580, 0.203)
O (0.737, 0.061, 0.707)
O (0.740, 0.837, 0.443)
O (0.742, 0.580, 0.697)

---

Simulated X-ray diffraction stick pattern of LiFe2OF3 for Cu Kα X-rays, from DFT lattice parameters and positions (PBE+U).

The 8 most intense peaks (2θ = 10–80°), sorted by position:
16.96 deg, I = 100, (1 0 0)
23.37 deg, I = 16, (1 1 -1)
33.04 deg, I = 34, (0 2 2)
37.29 deg, I = 32, (1 0 -4)
37.69 deg, I = 71, (1 2 2)
47.78 deg, I = 48, (2 0 -4)
48.90 deg, I = 30, (2 2 2)
59.85 deg, I = 22, (0 2 6)

Structural model:
Cell lengths 5.234, 6.305, 10.646 Å; angles 90.00, 92.39, 90.00 degrees
Space group Pm (No. 6)
Asymmetric unit:
Li (0.000, 0.000, 0.000)
Li (0.024, 0.500, 0.502)
Li (0.085, 0.000, 0.659)
Li (0.148, 0.500, 0.130)
Fe (0.032, 0.000, 0.316)
Fe (0.548, 0.246, 0.567)
Fe (0.553, 0.500, 0.836)
Fe (0.558, 0.500, 0.328)
Fe (0.565, 0.000, 0.818)
Fe (0.586, 0.242, 0.091)
O (0.380, 0.500, 0.487)
O (0.416, 0.500, 0.009)
O (0.724, 0.000, 0.651)
O (0.805, 0.000, 0.157)
F (0.255, 0.000, 0.488)
F (0.298, 0.262, 0.234)
F (0.315, 0.242, 0.739)
F (0.353, 0.000, 0.985)
F (0.768, 0.500, 0.673)
F (0.803, 0.230, 0.916)
F (0.813, 0.500, 0.184)
F (0.832, 0.267, 0.415)

---

Simulated X-ray diffraction stick pattern of VCrP4O14 for Cu Kα X-rays, from DFT lattice parameters and positions (PBE+U).

The 8 most intense peaks (2θ = 10–80°), sorted by position:
17.13 deg, I = 100, (0 1 2)
17.23 deg, I = 96, (0 1 -2)
22.07 deg, I = 35, (1 0 -2)
22.67 deg, I = 38, (1 1 2)
22.95 deg, I = 35, (1 1 -2)
26.01 deg, I = 26, (1 -1 0)
29.69 deg, I = 44, (1 1 4)
30.13 deg, I = 65, (1 1 -4)

Structural model:
Cell lengths 4.866, 6.988, 16.113 Å; angles 89.47, 89.26, 74.11 degrees
Space group P1 (No. 1)
Asymmetric unit:
V (0.000, 0.000, 0.000)
V (0.000, 0.000, 0.500)
Cr (0.572, 0.455, 0.750)
Cr (0.572, 0.456, 0.250)
P (0.028, 0.621, 0.134)
P (0.028, 0.621, 0.634)
P (0.178, 0.216, 0.338)
P (0.178, 0.217, 0.838)
P (0.397, 0.237, 0.093)
P (0.397, 0.237, 0.593)
P (0.552, 0.829, 0.383)
P (0.552, 0.830, 0.883)
O (0.060, 0.194, 0.428)
O (0.060, 0.194, 0.928)
O (0.200, 0.098, 0.084)
O (0.200, 0.098, 0.584)
O (0.210, 0.643, 0.207)
O (0.210, 0.643, 0.707)
O (0.215, 0.458, 0.068)
O (0.215, 0.458, 0.568)
O (0.345, 0.825, 0.457)
O (0.345, 0.826, 0.957)
O (0.364, 0.357, 0.342)
O (0.364, 0.357, 0.842)
O (0.377, 0.994, 0.819)
O (0.378, 0.994, 0.319)
O (0.501, 0.238, 0.181)
O (0.501, 0.238, 0.681)
O (0.643, 0.182, 0.029)
O (0.643, 0.182, 0.529)
O (0.653, 0.639, 0.336)
O (0.653, 0.639, 0.836)
O (0.756, 0.566, 0.155)
O (0.757, 0.566, 0.655)
O (0.806, 0.898, 0.915)
O (0.807, 0.896, 0.416)
O (0.941, 0.255, 0.776)
O (0.942, 0.255, 0.276)
O (0.956, 0.811, 0.077)
O (0.956, 0.811, 0.577)

---

Simulated X-ray diffraction stick pattern of HoCrTeO6 for Cu Kα X-rays, from DFT lattice parameters and positions (PBE+U).

The 8 most intense peaks (2θ = 10–80°), sorted by position:
18.96 deg, I = 26, (1 0 0)
20.55 deg, I = 48, (0 0 2)
28.10 deg, I = 100, (1 0 2)
33.16 deg, I = 71, (1 1 0)
39.33 deg, I = 63, (2 -1 2)
44.01 deg, I = 29, (2 0 2)
54.36 deg, I = 57, (1 1 4)
56.19 deg, I = 27, (3 -1 2)

Structural model:
Cell lengths 5.4037, 5.4037, 8.6437 Å; angles 90.00, 90.00, 120.00 degrees
Space group P-31c (No. 163)
Asymmetric unit:
Ho (0.3333, 0.6667, 0.2500)
Cr (0.0000, 0.0000, 0.0000)
Te (0.3333, 0.6667, 0.7500)
O (0.0412, 0.3533, 0.8760)

---

Simulated X-ray diffraction stick pattern of Li2Fe3SnO8 for Cu Kα X-rays, from DFT lattice parameters and positions (PBE+U).

The 8 most intense peaks (2θ = 10–80°), sorted by position:
17.97 deg, I = 18, (1 0 1)
18.12 deg, I = 30, (0 0 3)
20.82 deg, I = 52, (0 1 2)
29.71 deg, I = 39, (1 0 4)
34.80 deg, I = 100, (0 2 1)
35.02 deg, I = 20, (0 1 5)
61.25 deg, I = 23, (2 2 0)
61.69 deg, I = 22, (2 0 8)

Structural model:
Cell lengths 6.0537, 6.0537, 14.6863 Å; angles 90.00, 90.00, 120.00 degrees
Space group R3m (No. 160, hexagonal axes)
Asymmetric unit:
Li (0.0000, 0.0000, 0.0000)
Li (0.0000, 0.0000, 0.3778)
Fe (0.0160, 0.5080, 0.8826)
Sn (0.0000, 0.0000, 0.7636)
O (0.0000, 0.0000, 0.1366)
O (0.0000, 0.0000, 0.6260)
O (0.0281, 0.5141, 0.1381)
O (0.1793, 0.3585, 0.9525)